For CoP2O7, the PBE+U geometry in Alexandria gives the simulated X-ray powder pattern in this record (Cu Kα).

Largest 6 diffraction maxima, in order of falling intensity, 15 to 90 degrees two-theta:
2θ = 17.87°, intensity 100.0, hkl 1 1 0; 2θ = 30.82°, intensity 54.2, hkl 0 2 2; 2θ = 15.27°, intensity 37.1, hkl 0 1 1; 2θ = 28.55°, intensity 34.3, hkl 2 0 -2; 2θ = 30.61°, intensity 33.7, hkl 1 1 2; 2θ = 23.52°, intensity 31.2, hkl 1 1 -2

Cell and atoms:
a b c (Å): 6.820 7.796 9.206
angles (deg): 90.00 109.30 90.00
Element x y z (fractional)
Co (0.220, 0.223, 0.005)
Co (0.220, 0.277, 0.505)
Co (0.780, 0.723, 0.495)
Co (0.780, 0.777, 0.995)
P (0.032, 0.596, 0.297)
P (0.032, 0.904, 0.797)
P (0.429, 0.034, 0.795)
P (0.429, 0.466, 0.295)
P (0.571, 0.534, 0.705)
P (0.571, 0.966, 0.205)
P (0.968, 0.096, 0.203)
P (0.968, 0.404, 0.703)
O (0.018, 0.244, 0.111)
O (0.018, 0.256, 0.611)
O (0.021, 0.081, 0.867)
O (0.021, 0.419, 0.367)
O (0.105, 0.092, 0.375)
O (0.105, 0.408, 0.875)
O (0.268, 0.618, 0.298)
O (0.268, 0.882, 0.798)
O (0.355, 0.050, 0.153)
O (0.355, 0.450, 0.653)
O (0.394, 0.101, 0.633)
O (0.394, 0.399, 0.133)
O (0.416, 0.178, 0.908)
O (0.416, 0.322, 0.408)
O (0.584, 0.678, 0.592)
O (0.584, 0.822, 0.092)
O (0.606, 0.601, 0.867)
O (0.606, 0.899, 0.367)
O (0.645, 0.550, 0.347)
O (0.645, 0.950, 0.847)
O (0.732, 0.118, 0.202)
O (0.732, 0.382, 0.702)
O (0.895, 0.592, 0.125)
O (0.895, 0.908, 0.625)
O (0.979, 0.581, 0.633)
O (0.979, 0.919, 0.133)
O (0.982, 0.744, 0.389)
O (0.982, 0.756, 0.889)